Record 1
Structure and theoretical powder X-ray diffraction pattern of Ba2MgCuBi2F14 (a PBE-relaxed structure; Cu Ka).
Kinematic intensities with the Lorentz-polarization factor, no thermal factor.

The 6 most intense peaks (10 to 80 degrees two-theta), by angle:
two_theta	intensity
17.63	57
22.02	61
24.72	74
27.11	73
28.35	100
48.16	39

Cell and atoms:
```
data_Ba2MgCuBi2F14
_space_group_name_H-M_alt 'P 1'
_space_group_IT_number 1
_cell_length_a 7.7747
_cell_length_b 7.7747
_cell_length_c 16.1458
_cell_angle_alpha 90.02
_cell_angle_beta 90.02
_cell_angle_gamma 40.31
loop_
_space_group_symop_operation_xyz
'x,y,z'
loop_
_atom_site_label
_atom_site_type_symbol
_atom_site_fract_x
_atom_site_fract_y
_atom_site_fract_z
_atom_site_occupancy
Ba1 Ba 0.0789 0.2827 0.3725 1
Ba2 Ba 0.2827 0.0789 0.8725 1
Ba3 Ba 0.7173 0.9211 0.1275 1
Ba4 Ba 0.9211 0.7173 0.6275 1
Mg1 Mg 0.4375 0.5625 0.2500 1
Mg2 Mg 0.5625 0.4375 0.7500 1
Cu1 Cu 0.5000 0.5000 0.0000 1
Cu2 Cu 0.5000 0.5000 0.5000 1
Bi1 Bi 0.0547 0.1617 0.1224 1
Bi2 Bi 0.1617 0.0547 0.6224 1
Bi3 Bi 0.8383 0.9453 0.3776 1
Bi4 Bi 0.9453 0.8383 0.8776 1
F1 F 0.0039 0.3524 0.7194 1
F2 F 0.1062 0.4031 0.1021 1
F3 F 0.1267 0.7232 0.0148 1
F4 F 0.1315 0.5720 0.4553 1
F5 F 0.1461 0.8195 0.1716 1
F6 F 0.1805 0.8539 0.3284 1
F7 F 0.2301 0.5640 0.7626 1
F8 F 0.2768 0.8733 0.4852 1
F9 F 0.3474 0.6045 0.6088 1
F10 F 0.3524 0.0039 0.2194 1
F11 F 0.3955 0.6526 0.8912 1
F12 F 0.4031 0.1062 0.6021 1
F13 F 0.4280 0.8685 0.0447 1
F14 F 0.4360 0.7699 0.7374 1
F15 F 0.5640 0.2301 0.2626 1
F16 F 0.5720 0.1315 0.9553 1
F17 F 0.5969 0.8938 0.3979 1
F18 F 0.6045 0.3474 0.1088 1
F19 F 0.6476 0.9961 0.7806 1
F20 F 0.6526 0.3955 0.3912 1
F21 F 0.7232 0.1267 0.5148 1
F22 F 0.7699 0.4360 0.2374 1
F23 F 0.8195 0.1461 0.6716 1
F24 F 0.8539 0.1805 0.8284 1
F25 F 0.8685 0.4280 0.5447 1
F26 F 0.8733 0.2768 0.9852 1
F27 F 0.8938 0.5969 0.8979 1
F28 F 0.9961 0.6476 0.2806 1
```

Record 2
Structure and theoretical powder X-ray diffraction pattern of Ce2Ti2Fe22H (a PBE-relaxed structure; Cu Ka).
Kinematic intensities with the Lorentz-polarization factor, no thermal factor.

The 6 most intense peaks (10 to 80 degrees two-theta), by angle:
two_theta	intensity
36.83	27
37.01	24
42.30	37
42.62	100
42.93	59
43.77	86

Cell and atoms:
```
data_Ce2Ti2Fe22H
_space_group_name_H-M_alt 'P 1'
_space_group_IT_number 1
_cell_length_a 6.4967
_cell_length_b 6.4967
_cell_length_c 11.9920
_cell_angle_alpha 90.35
_cell_angle_beta 90.35
_cell_angle_gamma 42.71
loop_
_space_group_symop_operation_xyz
'x,y,z'
loop_
_atom_site_label
_atom_site_type_symbol
_atom_site_fract_x
_atom_site_fract_y
_atom_site_fract_z
_atom_site_occupancy
Ce1 Ce 0.0000 0.0000 0.0000 1
Ce2 Ce 0.5000 0.5000 0.4996 1
Ti1 Ti 0.3120 0.3120 0.3117 1
Ti2 Ti 0.8124 0.8124 0.8122 1
Fe1 Fe 0.1078 0.1078 0.3839 1
Fe2 Fe 0.1118 0.1118 0.6114 1
Fe3 Fe 0.1734 0.1734 0.1735 1
Fe4 Fe 0.1749 0.1749 0.8179 1
Fe5 Fe 0.2473 0.7473 0.7457 1
Fe6 Fe 0.2467 0.7478 0.2464 1
Fe7 Fe 0.3179 0.3179 0.6752 1
Fe8 Fe 0.3832 0.3832 0.8833 1
Fe9 Fe 0.3840 0.3840 0.1068 1
Fe10 Fe 0.4964 0.9956 0.4973 1
Fe11 Fe 0.4956 0.9963 0.9973 1
Fe12 Fe 0.6070 0.6070 0.8838 1
Fe13 Fe 0.6107 0.6107 0.1107 1
Fe14 Fe 0.6735 0.6735 0.6740 1
Fe15 Fe 0.6749 0.6749 0.3172 1
Fe16 Fe 0.7473 0.2473 0.7457 1
Fe17 Fe 0.7478 0.2467 0.2464 1
Fe18 Fe 0.8178 0.8178 0.1747 1
Fe19 Fe 0.8828 0.8828 0.3831 1
Fe20 Fe 0.8839 0.8839 0.6071 1
Fe21 Fe 0.9956 0.4964 0.4973 1
Fe22 Fe 0.9963 0.4956 0.9973 1
H1 H 0.4969 0.4969 0.9968 1
```

Record 3
Structure and theoretical powder X-ray diffraction pattern of CePmTl2 (a PBE-relaxed structure; Cu Ka).
Kinematic intensities with the Lorentz-polarization factor, no thermal factor.

The 6 most intense peaks (10 to 80 degrees two-theta), by angle:
two_theta	intensity
22.83	3
32.50	100
46.63	19
57.99	39
68.07	12
77.48	17

Cell and atoms:
```
data_CePmTl2
_space_group_name_H-M_alt 'P 1'
_space_group_IT_number 1
_cell_length_a 5.5093
_cell_length_b 5.5093
_cell_length_c 5.5093
_cell_angle_alpha 60.00
_cell_angle_beta 60.00
_cell_angle_gamma 60.00
loop_
_space_group_symop_operation_xyz
'x,y,z'
loop_
_atom_site_label
_atom_site_type_symbol
_atom_site_fract_x
_atom_site_fract_y
_atom_site_fract_z
_atom_site_occupancy
Ce1 Ce 0.0000 0.0000 0.0000 1
Pm1 Pm 0.5000 0.5000 0.5000 1
Tl1 Tl 0.2500 0.2500 0.2500 1
Tl2 Tl 0.7500 0.7500 0.7500 1
```

Record 4
Structure and theoretical powder X-ray diffraction pattern of K7Na17Zn4Sn8 (a PBE-relaxed structure; Cu Ka).
Kinematic intensities with the Lorentz-polarization factor, no thermal factor.

The 6 most intense peaks (10 to 80 degrees two-theta), by angle:
two_theta	intensity
17.86	93
19.67	66
19.97	41
30.95	43
32.11	100
32.65	53

Cell and atoms:
```
data_K7Na17Zn4Sn8
_space_group_name_H-M_alt 'P 1'
_space_group_IT_number 1
_cell_length_a 9.9901
_cell_length_b 11.4079
_cell_length_c 11.6110
_cell_angle_alpha 60.64
_cell_angle_beta 89.89
_cell_angle_gamma 89.74
loop_
_space_group_symop_operation_xyz
'x,y,z'
loop_
_atom_site_label
_atom_site_type_symbol
_atom_site_fract_x
_atom_site_fract_y
_atom_site_fract_z
_atom_site_occupancy
K1 K 0.0000 0.0000 0.0000 1
K2 K 0.0645 0.3664 0.7115 1
K3 K 0.1402 0.9795 0.6782 1
K4 K 0.4250 0.4793 0.6780 1
K5 K 0.4998 0.8663 0.7100 1
K6 K 0.5681 0.4983 0.0005 1
K7 K 0.6402 0.8860 0.0316 1
Na1 Na 0.0082 0.3049 0.4295 1
Na2 Na 0.0563 0.0638 0.2774 1
Na3 Na 0.1924 0.6066 0.3646 1
Na4 Na 0.2071 0.6081 0.8495 1
Na5 Na 0.2526 0.4209 0.1863 1
Na6 Na 0.3103 0.9210 0.1871 1
Na7 Na 0.3553 0.1099 0.8477 1
Na8 Na 0.3731 0.1069 0.3647 1
Na9 Na 0.5077 0.5604 0.2795 1
Na10 Na 0.5570 0.8048 0.4304 1
Na11 Na 0.6934 0.2592 0.3439 1
Na12 Na 0.7122 0.2565 0.8638 1
Na13 Na 0.7547 0.4438 0.5228 1
Na14 Na 0.8108 0.9444 0.5231 1
Na15 Na 0.8563 0.7525 0.8635 1
Na16 Na 0.8738 0.7586 0.3452 1
Na17 Na 0.9241 0.3854 0.0348 1
Zn1 Zn 0.0681 0.6704 0.0976 1
Zn2 Zn 0.4964 0.1705 0.0987 1
Zn3 Zn 0.5676 0.1952 0.6117 1
Zn4 Zn 0.9981 0.6955 0.6113 1
Sn1 Sn 0.2257 0.7976 0.5020 1
Sn2 Sn 0.2533 0.2603 0.0158 1
Sn3 Sn 0.3099 0.7599 0.0163 1
Sn4 Sn 0.3394 0.2973 0.5022 1
Sn5 Sn 0.7277 0.0707 0.2058 1
Sn6 Sn 0.7575 0.6043 0.6956 1
Sn7 Sn 0.8095 0.1057 0.6936 1
Sn8 Sn 0.8404 0.5657 0.2048 1
```

Record 5
Structure and theoretical powder X-ray diffraction pattern of MgSi (a PBE-relaxed structure; Cu Ka).
Kinematic intensities with the Lorentz-polarization factor, no thermal factor.

The 6 most intense peaks (10 to 80 degrees two-theta), by angle:
two_theta	intensity
31.91	70
34.75	100
35.34	60
36.85	72
40.62	85
41.06	63

Cell and atoms:
```
data_MgSi
_space_group_name_H-M_alt 'P 1'
_space_group_IT_number 1
_cell_length_a 4.4679
_cell_length_b 5.4041
_cell_length_c 10.2969
_cell_angle_alpha 99.08
_cell_angle_beta 94.82
_cell_angle_gamma 109.66
loop_
_space_group_symop_operation_xyz
'x,y,z'
loop_
_atom_site_label
_atom_site_type_symbol
_atom_site_fract_x
_atom_site_fract_y
_atom_site_fract_z
_atom_site_occupancy
Mg1 Mg 0.0000 0.0000 0.0000 1
Mg2 Mg 0.0946 0.1098 0.3323 1
Mg3 Mg 0.2324 0.2521 0.6591 1
Mg4 Mg 0.5378 0.8712 0.7398 1
Mg5 Mg 0.7032 0.4636 0.1831 1
Mg6 Mg 0.8226 0.5899 0.4980 1
Si1 Si 0.2586 0.5453 0.9599 1
Si2 Si 0.3066 0.6601 0.3324 1
Si3 Si 0.4742 0.9027 0.1537 1
Si4 Si 0.6147 0.0421 0.5072 1
Si5 Si 0.6524 0.3227 0.9185 1
Si6 Si 0.9250 0.5994 0.7711 1
```

Record 6
Structure and theoretical powder X-ray diffraction pattern of Mg2Cd (a PBE-relaxed structure; Cu Ka).
Kinematic intensities with the Lorentz-polarization factor, no thermal factor.

The 6 most intense peaks (10 to 80 degrees two-theta), by angle:
two_theta	intensity
12.54	100
32.60	19
34.90	31
36.80	69
37.46	40
38.24	18

Cell and atoms:
```
data_Mg2Cd
_space_group_name_H-M_alt 'P 1'
_space_group_IT_number 1
_cell_length_a 6.1299
_cell_length_b 6.1299
_cell_length_c 7.3098
_cell_angle_alpha 104.47
_cell_angle_beta 104.47
_cell_angle_gamma 30.14
loop_
_space_group_symop_operation_xyz
'x,y,z'
loop_
_atom_site_label
_atom_site_type_symbol
_atom_site_fract_x
_atom_site_fract_y
_atom_site_fract_z
_atom_site_occupancy
Mg1 Mg 0.0273 0.0273 0.3021 1
Mg2 Mg 0.3049 0.3049 0.3588 1
Mg3 Mg 0.6951 0.6951 0.6412 1
Mg4 Mg 0.9727 0.9727 0.6979 1
Cd1 Cd 0.3622 0.3622 0.9725 1
Cd2 Cd 0.6378 0.6378 0.0275 1
```

Record 7
Structure and theoretical powder X-ray diffraction pattern of Ba2GdCu4O8 (a PBE-relaxed structure; Cu Ka).
Kinematic intensities with the Lorentz-polarization factor, no thermal factor.

The 6 most intense peaks (10 to 80 degrees two-theta), by angle:
two_theta	intensity
30.14	41
32.34	96
32.57	100
34.87	65
46.39	51
57.85	37

Cell and atoms:
```
data_Ba2GdCu4O8
_space_group_name_H-M_alt 'P 1'
_space_group_IT_number 1
_cell_length_a 13.8377
_cell_length_b 13.8377
_cell_length_c 3.8996
_cell_angle_alpha 90.00
_cell_angle_beta 90.00
_cell_angle_gamma 163.74
loop_
_space_group_symop_operation_xyz
'x,y,z'
loop_
_atom_site_label
_atom_site_type_symbol
_atom_site_fract_x
_atom_site_fract_y
_atom_site_fract_z
_atom_site_occupancy
Ba1 Ba 0.1354 0.8646 0.0000 1
Ba2 Ba 0.8646 0.1354 0.0000 1
Gd1 Gd 0.0000 0.0000 0.0000 1
Cu1 Cu 0.2874 0.7126 0.5000 1
Cu2 Cu 0.4384 0.5616 0.5000 1
Cu3 Cu 0.5616 0.4384 0.5000 1
Cu4 Cu 0.7126 0.2874 0.5000 1
O1 O 0.0526 0.9474 0.5000 1
O2 O 0.2181 0.7819 0.5000 1
O3 O 0.3548 0.6452 0.5000 1
O4 O 0.4474 0.5526 0.0000 1
O5 O 0.5526 0.4474 0.0000 1
O6 O 0.6452 0.3548 0.5000 1
O7 O 0.7819 0.2181 0.5000 1
O8 O 0.9474 0.0526 0.5000 1
```

Record 8
Structure and theoretical powder X-ray diffraction pattern of VCl4 (a PBE-relaxed structure; Cu Ka).
Kinematic intensities with the Lorentz-polarization factor, no thermal factor.

The 6 most intense peaks (10 to 80 degrees two-theta), by angle:
two_theta	intensity
13.42	100
13.77	74
14.96	55
20.38	28
26.48	26
27.26	22

Cell and atoms:
```
data_VCl4
_space_group_name_H-M_alt 'P 1'
_space_group_IT_number 1
_cell_length_a 13.4684
_cell_length_b 6.5986
_cell_length_c 12.8645
_cell_angle_alpha 90.00
_cell_angle_beta 118.46
_cell_angle_gamma 90.00
loop_
_space_group_symop_operation_xyz
'x,y,z'
loop_
_atom_site_label
_atom_site_type_symbol
_atom_site_fract_x
_atom_site_fract_y
_atom_site_fract_z
_atom_site_occupancy
V1 V 0.2427 0.0732 0.1385 1
V2 V 0.2427 0.9268 0.6385 1
V3 V 0.7573 0.0732 0.3615 1
V4 V 0.7573 0.9268 0.8615 1
Cl1 Cl 0.1146 0.0800 0.6627 1
Cl2 Cl 0.1146 0.9200 0.1627 1
Cl3 Cl 0.1893 0.3770 0.0793 1
Cl4 Cl 0.1893 0.6230 0.5793 1
Cl5 Cl 0.2738 0.0831 0.5107 1
Cl6 Cl 0.2738 0.9169 0.0107 1
Cl7 Cl 0.3960 0.0751 0.3036 1
Cl8 Cl 0.3960 0.9249 0.8036 1
Cl9 Cl 0.6040 0.0751 0.1964 1
Cl10 Cl 0.6040 0.9249 0.6964 1
Cl11 Cl 0.7262 0.0831 0.9893 1
Cl12 Cl 0.7262 0.9169 0.4893 1
Cl13 Cl 0.8107 0.3770 0.4207 1
Cl14 Cl 0.8107 0.6230 0.9207 1
Cl15 Cl 0.8854 0.0800 0.8373 1
Cl16 Cl 0.8854 0.9200 0.3373 1
```

Record 9
Structure and theoretical powder X-ray diffraction pattern of FeNiSn (a PBE-relaxed structure; Cu Ka).
Kinematic intensities with the Lorentz-polarization factor, no thermal factor.

The 6 most intense peaks (10 to 80 degrees two-theta), by angle:
two_theta	intensity
29.53	20
42.16	100
42.36	76
55.50	25
61.30	24
77.20	24

Cell and atoms:
```
data_FeNiSn
_space_group_name_H-M_alt 'P 1'
_space_group_IT_number 1
_cell_length_a 4.2870
_cell_length_b 4.2870
_cell_length_c 5.2150
_cell_angle_alpha 90.00
_cell_angle_beta 90.00
_cell_angle_gamma 120.00
loop_
_space_group_symop_operation_xyz
'x,y,z'
loop_
_atom_site_label
_atom_site_type_symbol
_atom_site_fract_x
_atom_site_fract_y
_atom_site_fract_z
_atom_site_occupancy
Fe1 Fe 0.0000 0.0000 0.0000 1
Fe2 Fe 0.0000 0.0000 0.5000 1
Ni1 Ni 0.3333 0.6667 0.2500 1
Ni2 Ni 0.6667 0.3333 0.7500 1
Sn1 Sn 0.3333 0.6667 0.7500 1
Sn2 Sn 0.6667 0.3333 0.2500 1
```

Record 10
Structure and theoretical powder X-ray diffraction pattern of Sr4P5Pd5 (a PBE-relaxed structure; Cu Ka).
Kinematic intensities with the Lorentz-polarization factor, no thermal factor.

The 6 most intense peaks (10 to 80 degrees two-theta), by angle:
two_theta	intensity
30.60	30
32.79	100
41.49	24
42.84	21
43.00	25
61.29	17

Cell and atoms:
```
data_Sr4P5Pd5
_space_group_name_H-M_alt 'P 1'
_space_group_IT_number 1
_cell_length_a 15.9095
_cell_length_b 15.9095
_cell_length_c 8.7057
_cell_angle_alpha 90.00
_cell_angle_beta 90.00
_cell_angle_gamma 164.75
loop_
_space_group_symop_operation_xyz
'x,y,z'
loop_
_atom_site_label
_atom_site_type_symbol
_atom_site_fract_x
_atom_site_fract_y
_atom_site_fract_z
_atom_site_occupancy
Sr1 Sr 0.0792 0.9208 0.0002 1
Sr2 Sr 0.0792 0.9208 0.4998 1
Sr3 Sr 0.3064 0.6936 0.5043 1
Sr4 Sr 0.3064 0.6936 0.9957 1
Sr5 Sr 0.6936 0.3064 0.0043 1
Sr6 Sr 0.6936 0.3064 0.4957 1
Sr7 Sr 0.9208 0.0792 0.9998 1
Sr8 Sr 0.9208 0.0792 0.5002 1
P1 P 0.1557 0.8443 0.2500 1
P2 P 0.1569 0.8431 0.7500 1
P3 P 0.2291 0.7709 0.7500 1
P4 P 0.4567 0.5433 0.2500 1
P5 P 0.4577 0.5423 0.7500 1
P6 P 0.5423 0.4577 0.2500 1
P7 P 0.5433 0.4567 0.7500 1
P8 P 0.7709 0.2291 0.2500 1
P9 P 0.8431 0.1569 0.2500 1
P10 P 0.8443 0.1557 0.7500 1
Pd1 Pd 0.0001 0.9999 0.2500 1
Pd2 Pd 0.9999 0.0001 0.7500 1
Pd3 Pd 0.2335 0.7665 0.2500 1
Pd4 Pd 0.3799 0.6201 0.2500 1
Pd5 Pd 0.3814 0.6186 0.7500 1
Pd6 Pd 0.5000 0.5000 0.0000 1
Pd7 Pd 0.5000 0.5000 0.5000 1
Pd8 Pd 0.6186 0.3814 0.2500 1
Pd9 Pd 0.6201 0.3799 0.7500 1
Pd10 Pd 0.7665 0.2335 0.7500 1
```

Record 11
Structure and theoretical powder X-ray diffraction pattern of HoGe2Ir (a PBE-relaxed structure; Cu Ka).
Kinematic intensities with the Lorentz-polarization factor, no thermal factor.

The 6 most intense peaks (10 to 80 degrees two-theta), by angle:
two_theta	intensity
33.52	100
34.83	51
39.09	28
40.52	22
42.40	36
49.17	19

Cell and atoms:
```
data_HoGe2Ir
_space_group_name_H-M_alt 'P 1'
_space_group_IT_number 1
_cell_length_a 9.4683
_cell_length_b 9.4683
_cell_length_c 9.4683
_cell_angle_alpha 153.97
_cell_angle_beta 123.90
_cell_angle_gamma 62.85
loop_
_space_group_symop_operation_xyz
'x,y,z'
loop_
_atom_site_label
_atom_site_type_symbol
_atom_site_fract_x
_atom_site_fract_y
_atom_site_fract_z
_atom_site_occupancy
Ho1 Ho 0.2049 0.2049 0.0000 1
Ho2 Ho 0.2373 0.0000 0.2373 1
Ho3 Ho 0.7627 0.0000 0.7627 1
Ho4 Ho 0.7951 0.7951 0.0000 1
Ge1 Ge 0.0767 0.5767 0.5000 1
Ge2 Ge 0.1460 0.7986 0.3474 1
Ge3 Ge 0.4222 0.4222 0.0000 1
Ge4 Ge 0.4511 0.7986 0.6526 1
Ge5 Ge 0.5489 0.2014 0.3474 1
Ge6 Ge 0.5778 0.5778 0.0000 1
Ge7 Ge 0.8540 0.2014 0.6526 1
Ge8 Ge 0.9233 0.4233 0.5000 1
Ir1 Ir 0.1054 0.3549 0.7506 1
Ir2 Ir 0.3957 0.6451 0.7506 1
Ir3 Ir 0.6043 0.3549 0.2494 1
Ir4 Ir 0.8946 0.6451 0.2494 1
```